1.
AcCeNdCo2: calculated powder diffractogram (Cu Kα, 1.54184 Å), based on the PBE geometry in Alexandria.
Lines closer than 0.1° are merged.

Structural model:
abc: 15.044 3.975 11.258
angles: 90.00 129.97 90.00
Space group C2/m (No. 12)
Asymmetric unit:
Ac  0.154  0.000  0.202 x4
Ce  0.108  0.000  0.493 x4
Nd  0.105  0.500  0.855 x4
Co  0.155  0.000  0.728 x4
Co  0.164  0.500  0.416 x4

Most intense lines, 2θ = 15–90°, sorted by position:
- 26.2 deg, d = 3.404 Å, intensity 40
- 27.8 deg, d = 3.208 Å, intensity 51
- 28.0 deg, d = 3.183 Å, intensity 32
- 29.2 deg, d = 3.054 Å, intensity 65
- 31.1 deg, d = 2.880 Å, intensity 100
- 37.7 deg, d = 2.384 Å, intensity 55
- 39.4 deg, d = 2.288 Å, intensity 41
- 45.6 deg, d = 1.987 Å, intensity 32
- 53.2 deg, d = 1.722 Å, intensity 27
- 56.2 deg, d = 1.636 Å, intensity 47



2.
AcCePrCo2: calculated powder diffractogram (Cu Kα, 1.54184 Å), based on the PBE geometry in Alexandria.
Lines closer than 0.1° are merged.

Structural model:
abc: 15.055 3.976 11.304
angles: 90.00 129.73 90.00
Space group C2/m (No. 12)
Asymmetric unit:
Ac  0.155  0.000  0.203 x4
Ce  0.109  0.000  0.494 x4
Pr  0.104  0.500  0.854 x4
Co  0.153  0.000  0.725 x4
Co  0.164  0.500  0.416 x4

Most intense lines, 2θ = 15–90°, sorted by position:
- 26.1 deg, d = 3.409 Å, intensity 40
- 27.7 deg, d = 3.217 Å, intensity 52
- 28.0 deg, d = 3.191 Å, intensity 32
- 29.2 deg, d = 3.056 Å, intensity 65
- 30.9 deg, d = 2.896 Å, intensity 100
- 37.7 deg, d = 2.386 Å, intensity 55
- 39.2 deg, d = 2.296 Å, intensity 42
- 45.6 deg, d = 1.988 Å, intensity 32
- 52.8 deg, d = 1.732 Å, intensity 28
- 56.1 deg, d = 1.639 Å, intensity 47



3.
Ac2Ce2CoSn2: calculated powder diffractogram (Cu Kα, 1.54184 Å), based on the PBE geometry in Alexandria.
Lines closer than 0.1° are merged.

Structural model:
abc: 4.964 4.964 17.910
angles: 90.00 90.00 90.00
Space group I4/mmm (No. 139)
Asymmetric unit:
Ac  0.000  0.000  0.174 x4
Ce  0.000  0.500  0.000 x4
Co  0.000  0.000  0.000 x2
Sn  0.000  0.000  0.369 x4

Most intense lines, 2θ = 15–90°, sorted by position:
- 25.4 deg, d = 3.510 Å, intensity 51
- 27.3 deg, d = 3.268 Å, intensity 95
- 29.9 deg, d = 2.985 Å, intensity 52
- 30.8 deg, d = 2.905 Å, intensity 75
- 32.4 deg, d = 2.762 Å, intensity 92
- 36.2 deg, d = 2.482 Å, intensity 100
- 47.7 deg, d = 1.908 Å, intensity 58
- 48.2 deg, d = 1.887 Å, intensity 53
- 59.8 deg, d = 1.547 Å, intensity 42
- 62.7 deg, d = 1.482 Å, intensity 45



4.
AcCeCrN3: calculated powder diffractogram (Cu Kα, 1.54184 Å), based on the PBE geometry in Alexandria.
Lines closer than 0.1° are merged.

Structural model:
abc: 13.484 3.787 7.200
angles: 90.00 105.51 90.00
Space group C2/m (No. 12)
Asymmetric unit:
Ac  0.138  0.000  0.069 x4
Ce  0.154  0.000  0.577 x4
Cr  0.000  0.500  0.321 x4
N  0.000  0.000  0.293 x4
N  0.157  0.500  0.353 x4
N  0.160  0.500  0.805 x4

Most intense lines, 2θ = 15–90°, sorted by position:
- 24.5 deg, d = 3.636 Å, intensity 38
- 25.7 deg, d = 3.469 Å, intensity 32
- 27.5 deg, d = 3.248 Å, intensity 37
- 31.4 deg, d = 2.851 Å, intensity 87
- 32.3 deg, d = 2.769 Å, intensity 83
- 34.4 deg, d = 2.609 Å, intensity 100
- 44.5 deg, d = 2.034 Å, intensity 55
- 48.1 deg, d = 1.893 Å, intensity 24
- 55.1 deg, d = 1.666 Å, intensity 35
- 59.1 deg, d = 1.563 Å, intensity 31



5.
Cs3Ac3CeSe8: calculated powder diffractogram (Cu Kα, 1.54184 Å), based on the PBE geometry in Alexandria.
Lines closer than 0.1° are merged.

Structural model:
abc: 15.768 9.103 10.022
angles: 90.00 121.64 90.00
Space group C2/m (No. 12)
Asymmetric unit:
Cs  0.000  0.000  0.000 x2
Cs  0.250  0.250  0.000 x4
Ac  0.000  0.500  0.500 x2
Ac  0.250  0.250  0.500 x4
Ce  0.000  0.000  0.500 x2
Se  0.016  0.234  0.317 x8
Se  0.217  0.000  0.684 x4
Se  0.232  0.500  0.696 x4

Most intense lines, 2θ = 15–90°, sorted by position:
- 20.8 deg, d = 4.266 Å, intensity 11
- 23.6 deg, d = 3.767 Å, intensity 15
- 26.6 deg, d = 3.356 Å, intensity 100
- 33.4 deg, d = 2.681 Å, intensity 15
- 36.2 deg, d = 2.484 Å, intensity 33
- 39.6 deg, d = 2.276 Å, intensity 37
- 42.1 deg, d = 2.147 Å, intensity 11
- 48.3 deg, d = 1.884 Å, intensity 19
- 59.4 deg, d = 1.556 Å, intensity 11
- 64.2 deg, d = 1.451 Å, intensity 16



6.
AcCeCu: calculated powder diffractogram (Cu Kα, 1.54184 Å), based on the PBE geometry in Alexandria.
Lines closer than 0.1° are merged.

Structural model:
abc: 12.981 3.853 8.732
angles: 90.00 125.53 90.00
Space group C2/m (No. 12)
Asymmetric unit:
Ac  0.162  0.000  0.079 x4
Ce  0.094  0.500  0.389 x4
Cu  0.109  0.000  0.659 x4

Most intense lines, 2θ = 15–90°, sorted by position:
- 25.3 deg, d = 3.521 Å, intensity 28
- 26.2 deg, d = 3.398 Å, intensity 31
- 28.0 deg, d = 3.183 Å, intensity 33
- 29.8 deg, d = 2.993 Å, intensity 18
- 31.2 deg, d = 2.871 Å, intensity 100
- 31.6 deg, d = 2.833 Å, intensity 52
- 33.9 deg, d = 2.641 Å, intensity 21
- 34.5 deg, d = 2.599 Å, intensity 24
- 38.9 deg, d = 2.315 Å, intensity 29
- 47.2 deg, d = 1.926 Å, intensity 18



7.
AcCeCu2Ge2: calculated powder diffractogram (Cu Kα, 1.54184 Å), based on the PBE geometry in Alexandria.
Lines closer than 0.1° are merged.

Structural model:
abc: 4.3380 4.3380 8.1811
angles: 90.00 90.00 120.00
Space group P-3m1 (No. 164)
Asymmetric unit:
Ac  0.0000  0.0000  0.0000 x1
Ce  0.0000  0.0000  0.5000 x1
Cu  0.3333  0.6667  0.7262 x2
Ge  0.3333  0.6667  0.2740 x2

Most intense lines, 2θ = 15–90°, sorted by position:
- 23.7 deg, d = 3.757 Å, intensity 20
- 26.1 deg, d = 3.414 Å, intensity 7
- 32.4 deg, d = 2.767 Å, intensity 100
- 41.6 deg, d = 2.169 Å, intensity 43
- 44.3 deg, d = 2.045 Å, intensity 10
- 53.7 deg, d = 1.707 Å, intensity 24
- 62.4 deg, d = 1.488 Å, intensity 22
- 70.2 deg, d = 1.341 Å, intensity 21
- 74.0 deg, d = 1.282 Å, intensity 8
- 76.0 deg, d = 1.252 Å, intensity 7



8.
Ac2CeErS4: calculated powder diffractogram (Cu Kα, 1.54184 Å), based on the PBE geometry in Alexandria.
Lines closer than 0.1° are merged.

Structural model:
abc: 7.110 4.076 7.251
angles: 90.00 108.83 90.00
Space group P2/m (No. 10)
Asymmetric unit:
Ac  0.000  0.000  0.000 x1
Ac  0.500  0.500  0.000 x1
Ce  0.000  0.500  0.500 x1
Er  0.500  0.000  0.500 x1
S  0.249  0.000  0.725 x2
S  0.267  0.500  0.280 x2

Most intense lines, 2θ = 15–90°, sorted by position:
- 26.0 deg, d = 3.432 Å, intensity 25
- 26.5 deg, d = 3.365 Å, intensity 23
- 26.7 deg, d = 3.342 Å, intensity 45
- 30.6 deg, d = 2.918 Å, intensity 100
- 43.3 deg, d = 2.089 Å, intensity 13
- 43.5 deg, d = 2.079 Å, intensity 25
- 44.2 deg, d = 2.049 Å, intensity 24
- 44.4 deg, d = 2.038 Å, intensity 12
- 51.3 deg, d = 1.780 Å, intensity 13
- 54.9 deg, d = 1.671 Å, intensity 13



9.
Ac2CeErTe5: calculated powder diffractogram (Cu Kα, 1.54184 Å), based on the PBE geometry in Alexandria.
Lines closer than 0.1° are merged.

Structural model:
abc: 5.467 5.467 11.903
angles: 90.00 90.00 90.00
Space group P4/mmm (No. 123)
Asymmetric unit:
Ac  0.000  0.000  0.201 x2
Ce  0.500  0.500  0.500 x1
Er  0.500  0.500  0.000 x1
Te  0.000  0.000  0.500 x1
Te  0.000  0.500  0.000 x2
Te  0.500  0.500  0.249 x2

Most intense lines, 2θ = 15–90°, sorted by position:
- 23.0 deg, d = 3.866 Å, intensity 99
- 27.5 deg, d = 3.242 Å, intensity 30
- 27.8 deg, d = 3.211 Å, intensity 41
- 30.0 deg, d = 2.976 Å, intensity 38
- 32.3 deg, d = 2.769 Å, intensity 55
- 32.8 deg, d = 2.733 Å, intensity 100
- 43.5 deg, d = 2.081 Å, intensity 25
- 45.0 deg, d = 2.013 Å, intensity 51
- 47.0 deg, d = 1.933 Å, intensity 37
- 56.8 deg, d = 1.621 Å, intensity 25



10.
AcCeEu: calculated powder diffractogram (Cu Kα, 1.54184 Å), based on the PBE geometry in Alexandria.
Lines closer than 0.1° are merged.

Structural model:
abc: 3.7954 3.7954 9.3151
angles: 90.00 90.00 120.00
Space group P3m1 (No. 156)
Asymmetric unit:
Ac  0.0000  0.0000  0.0000 x1
Ce  0.6667  0.3333  0.3197 x1
Eu  0.3333  0.6667  0.6449 x1

Most intense lines, 2θ = 15–90°, sorted by position:
- 28.8 deg, d = 3.101 Å, intensity 100
- 33.4 deg, d = 2.686 Å, intensity 51
- 47.9 deg, d = 1.899 Å, intensity 37
- 56.9 deg, d = 1.619 Å, intensity 44
- 59.7 deg, d = 1.550 Å, intensity 10
- 77.4 deg, d = 1.233 Å, intensity 9
- 77.5 deg, d = 1.231 Å, intensity 9
- 79.8 deg, d = 1.202 Å, intensity 7
- 79.9 deg, d = 1.200 Å, intensity 9
- 89.4 deg, d = 1.096 Å, intensity 10



11.
Ac2CeF11: calculated powder diffractogram (Cu Kα, 1.54184 Å), based on the PBE geometry in Alexandria.
Lines closer than 0.1° are merged.

Structural model:
abc: 9.094 10.830 11.612
angles: 90.00 90.00 90.00
Space group Ibam (No. 72)
Asymmetric unit:
Ac  0.172  0.192  0.000 x8
Ce  0.000  0.500  0.250 x4
F  0.000  0.000  0.000 x4
F  0.089  0.337  0.146 x16
F  0.105  0.179  0.500 x8
F  0.191  0.428  0.360 x16

Most intense lines, 2θ = 15–90°, sorted by position:
- 15.3 deg, d = 5.806 Å, intensity 29
- 19.9 deg, d = 4.460 Å, intensity 43
- 20.6 deg, d = 4.319 Å, intensity 36
- 22.5 deg, d = 3.952 Å, intensity 100
- 24.9 deg, d = 3.580 Å, intensity 22
- 31.5 deg, d = 2.844 Å, intensity 14
- 40.5 deg, d = 2.230 Å, intensity 15
- 41.1 deg, d = 2.195 Å, intensity 14
- 41.9 deg, d = 2.156 Å, intensity 50
- 47.1 deg, d = 1.929 Å, intensity 16



12.
Ac2CeO3F3: calculated powder diffractogram (Cu Kα, 1.54184 Å), based on the PBE geometry in Alexandria.
Lines closer than 0.1° are merged.

Structural model:
abc: 6.5231 6.5231 3.7736
angles: 90.00 90.00 120.00
Space group P-62m (No. 189)
Asymmetric unit:
Ac  0.3333  0.6667  0.0000 x2
Ce  0.0000  0.0000  0.5000 x1
O  0.0000  0.7389  0.0000 x3
F  0.0000  0.4047  0.5000 x3

Most intense lines, 2θ = 15–90°, sorted by position:
- 23.6 deg, d = 3.774 Å, intensity 14
- 27.3 deg, d = 3.262 Å, intensity 100
- 28.4 deg, d = 3.138 Å, intensity 70
- 36.4 deg, d = 2.468 Å, intensity 34
- 39.9 deg, d = 2.261 Å, intensity 44
- 48.3 deg, d = 1.883 Å, intensity 30
- 49.0 deg, d = 1.858 Å, intensity 39
- 56.4 deg, d = 1.632 Å, intensity 44
- 70.7 deg, d = 1.333 Å, intensity 19
- 77.4 deg, d = 1.233 Å, intensity 26



Repeat the fourth record exactly.
AcCeCrN3: calculated powder diffractogram (Cu Kα, 1.54184 Å), based on the PBE geometry in Alexandria.
Lines closer than 0.1° are merged.

Structural model:
abc: 13.484 3.787 7.200
angles: 90.00 105.51 90.00
Space group C2/m (No. 12)
Asymmetric unit:
Ac  0.138  0.000  0.069 x4
Ce  0.154  0.000  0.577 x4
Cr  0.000  0.500  0.321 x4
N  0.000  0.000  0.293 x4
N  0.157  0.500  0.353 x4
N  0.160  0.500  0.805 x4

Most intense lines, 2θ = 15–90°, sorted by position:
- 24.5 deg, d = 3.636 Å, intensity 38
- 25.7 deg, d = 3.469 Å, intensity 32
- 27.5 deg, d = 3.248 Å, intensity 37
- 31.4 deg, d = 2.851 Å, intensity 87
- 32.3 deg, d = 2.769 Å, intensity 83
- 34.4 deg, d = 2.609 Å, intensity 100
- 44.5 deg, d = 2.034 Å, intensity 55
- 48.1 deg, d = 1.893 Å, intensity 24
- 55.1 deg, d = 1.666 Å, intensity 35
- 59.1 deg, d = 1.563 Å, intensity 31